Theoretical X-ray powder pattern of Er2TlHg6 for copper Kα, from a DFT-relaxed cell (GGA-PBE, Alexandria).

Largest 10 diffraction maxima, in order of rising 2θ, 10 to 90 degrees two-theta:
29.69°, d = 3.009 Å, intensity 26, (1 1 1); 29.82°, d = 2.996 Å, intensity 30, (3 1 -1); 33.75°, d = 2.656 Å, intensity 64, (0 2 1); 34.28°, d = 2.616 Å, intensity 55, (6 0 0); 35.76°, d = 2.511 Å, intensity 23, (3 1 1); 35.99°, d = 2.496 Å, intensity 21, (5 1 -1); 36.57°, d = 2.457 Å, intensity 100, (3 3 0); 51.82°, d = 1.764 Å, intensity 20, (2 0 -2); 64.98°, d = 1.435 Å, intensity 19, (1 3 2); 65.20°, d = 1.431 Å, intensity 20, (5 3 -2)

Structure:
```
data_Er2TlHg6
_chemical_formula_sum 'Er4 Tl2 Hg12'
_space_group_name_H-M_alt 'C 1 2/m 1'
_space_group_IT_number 12
_cell_length_a 16.0647
_cell_length_b 8.3487
_cell_length_c 3.5287
_cell_angle_alpha 90.00
_cell_angle_beta 102.31
_cell_angle_gamma 90.00
loop_
_space_group_symop_operation_xyz
'x,y,z'
'-x,-y,-z'
'-x,y,-z'
'x,-y,z'
'x+1/2,y+1/2,z'
'-x+1/2,-y+1/2,-z'
'-x+1/2,y+1/2,-z'
'x+1/2,-y+1/2,z'
loop_
_atom_site_label
_atom_site_type_symbol
_atom_site_fract_x
_atom_site_fract_y
_atom_site_fract_z
Er1 Er 0.1482 0.0000 0.1417
Tl1 Tl 0.0000 0.5000 0.0000
Hg1 Hg 0.0000 0.1773 0.5000
Hg2 Hg 0.1748 0.3244 0.6699
```

Theoretical X-ray powder pattern of Rb2CeTa6Br15O3 for copper Kα, from a DFT-relaxed cell (GGA-PBE, Alexandria).

Largest 10 diffraction maxima, in order of rising 2θ, 10 to 90 degrees two-theta:
10.65°, d = 8.310 Å, intensity 100, (1 0 0); 14.32°, d = 6.186 Å, intensity 40, (1 0 2); 26.75°, d = 3.332 Å, intensity 33, (1 1 4); 28.42°, d = 3.141 Å, intensity 31, (2 1 0); 31.97°, d = 2.800 Å, intensity 27, (2 1 3); 34.50°, d = 2.599 Å, intensity 84, (2 1 4); 40.43°, d = 2.231 Å, intensity 23, (1 0 8); 40.99°, d = 2.202 Å, intensity 30, (2 1 6); 42.44°, d = 2.130 Å, intensity 30, (2 2 4); 43.88°, d = 2.063 Å, intensity 23, (4 -1 4)

Structure:
```
data_Rb2CeTa6Br15O3
_chemical_formula_sum 'Rb4 Ce2 Ta12 Br30 O6'
_space_group_name_H-M_alt 'P -3 1 c'
_space_group_IT_number 163
_space_group_name_Hall '-P 3 2c'
_cell_length_a 9.5952
_cell_length_b 9.5952
_cell_length_c 18.5266
_cell_angle_alpha 90.00
_cell_angle_beta 90.00
_cell_angle_gamma 120.00
loop_
_atom_site_label
_atom_site_type_symbol
_atom_site_fract_x
_atom_site_fract_y
_atom_site_fract_z
Rb1 Rb 0.3333 0.6667 0.0354
Ce1 Ce 0.3333 0.6667 0.7500
Ta1 Ta 0.0166 0.1895 0.6874
Br1 Br 0.0190 0.2223 0.4109
Br2 Br 0.0724 0.4698 0.6187
Br3 Br 0.2137 0.4275 0.2500
O1 O 0.1815 0.3630 0.7500
```

Theoretical X-ray powder pattern of Tb3Zn2In2 for copper Kα, from a DFT-relaxed cell (GGA-PBE, Alexandria).

Largest 10 diffraction maxima, in order of rising 2θ, 10 to 90 degrees two-theta:
29.11°, d = 3.067 Å, intensity 31, (1 5 0); 32.55°, d = 2.751 Å, intensity 100, (1 1 1); 35.54°, d = 2.526 Å, intensity 75, (0 6 1); 35.77°, d = 2.511 Å, intensity 60, (1 7 0); 41.07°, d = 2.198 Å, intensity 32, (2 0 0); 51.09°, d = 1.788 Å, intensity 17, (0 0 2); 55.42°, d = 1.658 Å, intensity 42, (2 6 1); 63.92°, d = 1.456 Å, intensity 22, (1 7 2); 65.97°, d = 1.416 Å, intensity 18, (1 13 1); 67.57°, d = 1.386 Å, intensity 24, (2 0 2)

Structure:
```
data_Tb3Zn2In2
_chemical_formula_sum 'Tb6 Zn4 In4'
_space_group_name_H-M_alt 'C m m m'
_space_group_IT_number 65
_space_group_name_Hall '-C 2 2'
_cell_length_a 4.3957
_cell_length_b 21.4092
_cell_length_c 3.5757
_cell_angle_alpha 90.00
_cell_angle_beta 90.00
_cell_angle_gamma 90.00
loop_
_atom_site_label
_atom_site_type_symbol
_atom_site_fract_x
_atom_site_fract_y
_atom_site_fract_z
Tb1 Tb 0.0000 0.0000 0.0000
Tb2 Tb 0.0000 0.1649 0.0000
Zn1 Zn 0.0000 0.2812 0.5000
In1 In 0.0000 0.4181 0.5000
```